# Nd6Fe13Bi
Computed powder diffractogram, Cu Kα. Input: a DFT-relaxed cell (PBE, the Materials Project).
Intensities are scaled so that the largest is 100.

Crystal structure
```
data_Nd6Fe13Bi
_chemical_formula_sum 'Nd24 Fe52 Bi4'
_cell_length_a 8.0758
_cell_length_b 8.0758
_cell_length_c 23.4781
_cell_angle_alpha 90.00
_cell_angle_beta 90.00
_cell_angle_gamma 90.00
_symmetry_space_group_name_H-M 'I 4/m c m'
_symmetry_Int_Tables_number 140
_symmetry_space_group_name_Hall '-I 4 2c'
loop_
_atom_site_label
_atom_site_fract_x
_atom_site_fract_y
_atom_site_fract_z
Nd1 0.0000 0.0000 0.1026
Nd2 0.1610 0.3390 0.1839
Fe1 0.0000 0.5000 0.0000
Fe2 0.0668 0.2108 0.5000
Fe3 0.1137 0.3863 0.4065
Fe4 0.1783 0.3217 0.0583
Bi1 0.0000 0.0000 0.2500
```

Most intense lines, 2θ = 10–90°, by intensity:
31.27°, I 100.0; 35.14°, I 99.6; 27.19°, I 71.3; 37.90°, I 60.7; 31.85°, I 48.0; 42.76°, I 46.1